1.
Calculated powder XRD pattern
Compound: KZnAs
Radiation: Cu Kα (λ = 1.5418 Å)
Structure: a crystal structure in the Materials Project, relaxed with GGA-PBE
Peak positions follow from Bragg's law for the DFT cell and can differ from measured ones.

Peak list (10 most intense, 10 to 80 degrees two-theta, low angle first)
two_theta	I_rel
17.03	54
29.62	100
34.45	30
42.32	49
45.93	26
52.51	18
55.67	42
58.76	13
69.63	15
77.41	9

```
KZnAs
1.0
4.2712 0.0000 0.0000
-2.1356 3.6990 0.0000
0.0000 0.0000 10.4138
K Zn As
2 2 2
direct
0.0000 0.0000 0.0000
0.0000 0.0000 0.5000
0.3333 0.6667 0.2500
0.6667 0.3333 0.7500
0.3333 0.6667 0.7500
0.6667 0.3333 0.2500
```

***

2.
Calculated powder XRD pattern
Compound: BaSb2Pd2
Radiation: Cu Kα (λ = 1.5418 Å)
Structure: a crystal structure in the Materials Project, relaxed with GGA-PBE
Peak positions follow from Bragg's law for the DFT cell and can differ from measured ones.

Peak list (10 most intense, 10 to 80 degrees two-theta, low angle first)
two_theta	I_rel
30.34	100
30.90	85
37.67	87
41.84	37
44.58	17
49.11	51
54.33	30
56.18	30
63.82	21
79.14	17

```
BaSb2Pd2
1.0
-2.3879 2.3879 5.6155
2.3879 -2.3879 5.6155
2.3879 2.3879 -5.6155
Ba Sb Pd
1 2 2
direct
0.0000 0.0000 0.0000
0.3640 0.3640 0.0000
0.6360 0.6360 0.0000
0.2500 0.7500 0.5000
0.7500 0.2500 0.5000
```

***

3.
Calculated powder XRD pattern
Compound: YB5O9
Radiation: Cu Kα (λ = 1.5418 Å)
Structure: a crystal structure in the Materials Project, relaxed with GGA-PBE
Peak positions follow from Bragg's law for the DFT cell and can differ from measured ones.

Peak list (10 most intense, 10 to 80 degrees two-theta, low angle first)
two_theta	I_rel
13.67	53
16.35	100
23.98	54
25.89	71
28.17	58
29.05	53
31.25	35
32.71	46
44.93	44
45.65	37

```
YB5O9
1.0
6.3849 0.0000 0.0000
0.0000 11.4889 0.0000
-2.1982 0.0000 7.8420
Y B O
4 20 36
direct
0.2477 0.1762 0.1367
0.2477 0.3238 0.6367
0.7523 0.6762 0.3633
0.7523 0.8238 0.8633
0.0118 0.5975 0.7200
0.0118 0.9025 0.2200
0.2099 0.0584 0.4510
0.2099 0.4416 0.9510
0.2741 0.7474 0.3283
0.2741 0.7526 0.8283
0.3094 0.6274 0.5883
0.3094 0.8726 0.0883
0.3581 0.0307 0.7571
0.3581 0.4693 0.2571
0.6419 0.5307 0.7429
0.6419 0.9693 0.2429
0.6906 0.1274 0.9117
0.6906 0.3726 0.4117
0.7259 0.2474 0.1717
0.7259 0.2526 0.6717
0.7901 0.5584 0.0490
0.7901 0.9416 0.5490
0.9882 0.0975 0.7800
0.9882 0.4025 0.2800
0.0752 0.6161 0.5612
0.0752 0.8839 0.0612
0.0807 0.7015 0.8326
0.0807 0.7985 0.3326
0.0991 0.0137 0.2945
0.0991 0.4863 0.7945
0.2288 0.0963 0.8324
0.2288 0.4037 0.3324
0.2590 0.1741 0.4497
0.2590 0.3259 0.9497
0.2773 0.5126 0.0936
0.2773 0.9874 0.5936
0.3668 0.6575 0.4325
0.3668 0.8425 0.9325
0.3951 0.7207 0.7188
0.3951 0.7793 0.2188
0.4231 0.5176 0.6605
0.4231 0.9824 0.1605
0.5769 0.0176 0.8395
0.5769 0.4824 0.3395
0.6049 0.2207 0.7812
0.6049 0.2793 0.2812
0.6332 0.1575 0.0675
0.6332 0.3425 0.5675
0.7227 0.0126 0.4064
0.7227 0.4874 0.9064
0.7410 0.6741 0.0503
0.7410 0.8259 0.5503
0.7712 0.5963 0.6676
0.7712 0.9037 0.1676
0.9009 0.5137 0.2055
0.9009 0.9863 0.7055
0.9193 0.2015 0.6674
0.9193 0.2985 0.1674
0.9248 0.1161 0.9388
0.9248 0.3839 0.4388
```

***

4.
Calculated powder XRD pattern
Compound: Na6SbO5
Radiation: Cu Kα (λ = 1.5418 Å)
Structure: a crystal structure in the Materials Project, relaxed with GGA-PBE
Peak positions follow from Bragg's law for the DFT cell and can differ from measured ones.

Peak list (10 most intense, 10 to 80 degrees two-theta, low angle first)
two_theta	I_rel
16.17	30
16.43	26
19.31	100
23.13	33
30.16	29
33.66	20
35.46	30
38.47	69
47.28	25
48.98	19

```
Na6SbO5
1.0
5.3942 -2.8669 0.0000
5.3942 2.8669 0.0000
0.0000 0.0000 10.9650
Na Sb O
12 2 10
direct
0.0700 0.3355 0.2500
0.1852 0.8148 0.5611
0.1852 0.8148 0.9389
0.2791 0.2791 0.0000
0.2791 0.2791 0.5000
0.3355 0.0700 0.7500
0.6645 0.9300 0.2500
0.7209 0.7209 0.0000
0.7209 0.7209 0.5000
0.8148 0.1852 0.0611
0.8148 0.1852 0.4389
0.9300 0.6645 0.7500
0.2806 0.7194 0.2500
0.7194 0.2806 0.7500
0.0668 0.6623 0.1172
0.0668 0.6623 0.3828
0.3377 0.9332 0.1172
0.3377 0.9332 0.3828
0.3674 0.6326 0.7500
0.6326 0.3674 0.2500
0.6623 0.0668 0.6172
0.6623 0.0668 0.8828
0.9332 0.3377 0.6172
0.9332 0.3377 0.8828
```

***

5.
Calculated powder XRD pattern
Compound: Tl2Se3
Radiation: Cu Kα (λ = 1.5418 Å)
Structure: a crystal structure in the Materials Project, relaxed with GGA-PBE
Peak positions follow from Bragg's law for the DFT cell and can differ from measured ones.

Peak list (10 most intense, 10 to 80 degrees two-theta, low angle first)
two_theta	I_rel
24.49	31
27.93	13
31.30	13
31.76	35
32.19	100
35.94	13
38.06	20
51.58	13
52.70	13
57.94	15

```
Tl2Se3
1.0
6.3506 -3.1945 0.0000
6.3506 3.1945 0.0000
-2.5705 0.0000 7.2695
Tl Se
4 6
direct
0.0601 0.7215 0.5353
0.2785 0.9399 0.9647
0.7215 0.0601 0.0353
0.9399 0.2785 0.4647
0.1556 0.4800 0.9454
0.3500 0.6500 0.2500
0.4800 0.1556 0.4454
0.5200 0.8444 0.5546
0.6500 0.3500 0.7500
0.8444 0.5200 0.0546
```

***

6.
Calculated powder XRD pattern
Compound: CsP4N7
Radiation: Cu Kα (λ = 1.5418 Å)
Structure: a crystal structure in the Materials Project, relaxed with GGA-PBE
Peak positions follow from Bragg's law for the DFT cell and can differ from measured ones.

Peak list (10 most intense, 10 to 80 degrees two-theta, low angle first)
two_theta	I_rel
25.73	22
27.70	42
28.42	51
29.47	100
35.57	19
37.82	21
40.13	12
40.63	13
46.15	12
51.02	13

```
CsP4N7
1.0
10.0955 0.0000 0.0000
0.0000 12.5469 0.0000
0.0000 0.0000 4.7575
Cs P N
4 16 28
direct
0.1433 0.2500 0.2261
0.3567 0.7500 0.7261
0.6433 0.2500 0.2739
0.8567 0.7500 0.7739
0.0884 0.6293 0.2158
0.0884 0.8707 0.2158
0.1584 0.5005 0.7274
0.1584 0.9995 0.7274
0.3416 0.0005 0.2274
0.3416 0.4995 0.2274
0.4116 0.1293 0.7158
0.4116 0.3707 0.7158
0.5884 0.6293 0.2842
0.5884 0.8707 0.2842
0.6584 0.5005 0.7726
0.6584 0.9995 0.7726
0.8416 0.0005 0.2726
0.8416 0.4995 0.2726
0.9116 0.1293 0.7842
0.9116 0.3707 0.7842
0.0588 0.0960 0.6894
0.0588 0.4040 0.6894
0.1203 0.6062 0.8908
0.1198 0.7500 0.2968
0.1203 0.8938 0.8908
0.2001 0.5449 0.3912
0.2001 0.9551 0.3912
0.2999 0.0449 0.8912
0.2999 0.4551 0.8912
0.3797 0.1062 0.3908
0.3802 0.2500 0.7968
0.3797 0.3938 0.3908
0.4412 0.5960 0.1894
0.4412 0.9040 0.1894
0.5588 0.0960 0.8106
0.5588 0.4040 0.8106
0.6203 0.6062 0.6092
0.6198 0.7500 0.2032
0.6203 0.8938 0.6092
0.7001 0.5449 0.1088
0.7001 0.9551 0.1088
0.7999 0.0449 0.6088
0.7999 0.4551 0.6088
0.8797 0.1062 0.1092
0.8802 0.2500 0.7032
0.8797 0.3938 0.1092
0.9412 0.5960 0.3106
0.9412 0.9040 0.3106
```

***

7.
Calculated powder XRD pattern
Compound: Nd2Se3O12
Radiation: Cu Kα (λ = 1.5418 Å)
Structure: a crystal structure in the Materials Project, relaxed with GGA-PBE
Peak positions follow from Bragg's law for the DFT cell and can differ from measured ones.

Peak list (10 most intense, 10 to 80 degrees two-theta, low angle first)
two_theta	I_rel
13.65	29
14.68	100
22.69	23
24.45	39
28.63	81
29.03	29
29.18	84
32.88	41
48.62	43
52.55	22

```
Nd2Se3O12
1.0
6.2733 -3.6413 0.0000
6.2733 3.6413 0.0000
-3.6801 0.0000 12.9786
Nd Se O
4 6 24
direct
0.2011 0.2081 0.1750
0.2081 0.2011 0.6750
0.7919 0.7989 0.3250
0.7989 0.7919 0.8250
0.2725 0.3234 0.9376
0.3234 0.2725 0.4376
0.3273 0.6727 0.7500
0.6727 0.3273 0.2500
0.6766 0.7275 0.5624
0.7275 0.6766 0.0624
0.0598 0.4110 0.8377
0.1157 0.4473 0.3528
0.1500 0.7634 0.8321
0.1680 0.7370 0.3978
0.1959 0.1966 0.4971
0.1967 0.1959 0.9971
0.2366 0.8500 0.6679
0.2630 0.8320 0.1022
0.3606 0.4347 0.6849
0.4110 0.0598 0.3377
0.4347 0.3606 0.1849
0.4473 0.1157 0.8528
0.5527 0.8843 0.1472
0.5653 0.6394 0.8151
0.5890 0.9402 0.6623
0.6394 0.5653 0.3151
0.7370 0.1680 0.8978
0.7634 0.1500 0.3321
0.8034 0.8041 0.0029
0.8041 0.8034 0.5029
0.8320 0.2630 0.6022
0.8500 0.2366 0.1679
0.8843 0.5527 0.6472
0.9402 0.5890 0.1623
```

***

Copy entry 3 word for word.
Calculated powder XRD pattern
Compound: YB5O9
Radiation: Cu Kα (λ = 1.5418 Å)
Structure: a crystal structure in the Materials Project, relaxed with GGA-PBE
Peak positions follow from Bragg's law for the DFT cell and can differ from measured ones.

Peak list (10 most intense, 10 to 80 degrees two-theta, low angle first)
two_theta	I_rel
13.67	53
16.35	100
23.98	54
25.89	71
28.17	58
29.05	53
31.25	35
32.71	46
44.93	44
45.65	37

```
YB5O9
1.0
6.3849 0.0000 0.0000
0.0000 11.4889 0.0000
-2.1982 0.0000 7.8420
Y B O
4 20 36
direct
0.2477 0.1762 0.1367
0.2477 0.3238 0.6367
0.7523 0.6762 0.3633
0.7523 0.8238 0.8633
0.0118 0.5975 0.7200
0.0118 0.9025 0.2200
0.2099 0.0584 0.4510
0.2099 0.4416 0.9510
0.2741 0.7474 0.3283
0.2741 0.7526 0.8283
0.3094 0.6274 0.5883
0.3094 0.8726 0.0883
0.3581 0.0307 0.7571
0.3581 0.4693 0.2571
0.6419 0.5307 0.7429
0.6419 0.9693 0.2429
0.6906 0.1274 0.9117
0.6906 0.3726 0.4117
0.7259 0.2474 0.1717
0.7259 0.2526 0.6717
0.7901 0.5584 0.0490
0.7901 0.9416 0.5490
0.9882 0.0975 0.7800
0.9882 0.4025 0.2800
0.0752 0.6161 0.5612
0.0752 0.8839 0.0612
0.0807 0.7015 0.8326
0.0807 0.7985 0.3326
0.0991 0.0137 0.2945
0.0991 0.4863 0.7945
0.2288 0.0963 0.8324
0.2288 0.4037 0.3324
0.2590 0.1741 0.4497
0.2590 0.3259 0.9497
0.2773 0.5126 0.0936
0.2773 0.9874 0.5936
0.3668 0.6575 0.4325
0.3668 0.8425 0.9325
0.3951 0.7207 0.7188
0.3951 0.7793 0.2188
0.4231 0.5176 0.6605
0.4231 0.9824 0.1605
0.5769 0.0176 0.8395
0.5769 0.4824 0.3395
0.6049 0.2207 0.7812
0.6049 0.2793 0.2812
0.6332 0.1575 0.0675
0.6332 0.3425 0.5675
0.7227 0.0126 0.4064
0.7227 0.4874 0.9064
0.7410 0.6741 0.0503
0.7410 0.8259 0.5503
0.7712 0.5963 0.6676
0.7712 0.9037 0.1676
0.9009 0.5137 0.2055
0.9009 0.9863 0.7055
0.9193 0.2015 0.6674
0.9193 0.2985 0.1674
0.9248 0.1161 0.9388
0.9248 0.3839 0.4388
```

***

Question: Which formula does entry 7 have?
Answer: Nd2Se3O12